(1)
# Pd16S7
Theoretical X-ray diffraction stick pattern, Cu Kα X-rays. Input: a structure optimized by DFT (PBE).

Largest 10 diffraction maxima, in order of rising 2θ, 15 to 90 degrees two-theta:
2θ/deg	I (rel.)
24.09	26
34.33	16
37.18	100
39.85	26
42.38	44
49.34	13
59.57	13
63.36	19
70.59	12
77.52	19

Cell and atoms:
```
data_Pd16S7
_chemical_formula_sum 'Pd16 S7'
_space_group_name_H-M_alt 'P 1'
_space_group_IT_number 1
_cell_length_a 7.8366
_cell_length_b 7.8366
_cell_length_c 7.8366
_cell_angle_alpha 109.47
_cell_angle_beta 109.47
_cell_angle_gamma 109.47
loop_
_space_group_symop_operation_xyz
'x,y,z'
loop_
_atom_site_label
_atom_site_fract_x
_atom_site_fract_y
_atom_site_fract_z
_atom_site_occupancy
Pd1 0.0000 0.0000 0.7696 1
Pd2 0.0000 0.4143 0.7524 1
Pd3 0.0000 0.7524 0.4143 1
Pd4 0.0000 0.7696 0.0000 1
Pd5 0.2304 0.2304 0.2304 1
Pd6 0.2476 0.2476 0.6619 1
Pd7 0.2476 0.6619 0.2476 1
Pd8 0.3381 0.5857 0.5857 1
Pd9 0.4143 0.0000 0.7524 1
Pd10 0.4143 0.7524 0.0000 1
Pd11 0.5857 0.3381 0.5857 1
Pd12 0.5857 0.5857 0.3381 1
Pd13 0.6619 0.2476 0.2476 1
Pd14 0.7524 0.0000 0.4143 1
Pd15 0.7524 0.4143 0.0000 1
Pd16 0.7696 0.0000 0.0000 1
S1 0.0000 0.0000 0.3115 1
S2 0.0000 0.3115 0.0000 1
S3 0.0000 0.5000 0.5000 1
S4 0.3115 0.0000 0.0000 1
S5 0.5000 0.0000 0.5000 1
S6 0.5000 0.5000 0.0000 1
S7 0.6885 0.6885 0.6885 1
```

***

(2)
# Pd6S
Theoretical X-ray diffraction stick pattern, Cu Kα X-rays. Input: a structure optimized by DFT (PBE).

Largest 10 diffraction maxima, in order of rising 2θ, 15 to 90 degrees two-theta:
2θ/deg	I (rel.)
18.41	14
26.15	54
32.17	100
41.92	77
46.14	24
53.80	13
57.36	55
64.06	11
76.54	21
82.49	13

Cell and atoms:
```
data_Pd6S
_chemical_formula_sum 'Pd6 S1'
_space_group_name_H-M_alt 'P 1'
_space_group_IT_number 1
_cell_length_a 5.9049
_cell_length_b 5.9049
_cell_length_c 5.9049
_cell_angle_alpha 109.51
_cell_angle_beta 109.51
_cell_angle_gamma 109.51
loop_
_space_group_symop_operation_xyz
'x,y,z'
loop_
_atom_site_label
_atom_site_fract_x
_atom_site_fract_y
_atom_site_fract_z
_atom_site_occupancy
Pd1 0.1077 0.1077 0.7846 1
Pd2 0.1077 0.7846 0.1077 1
Pd3 0.4747 0.4747 0.7853 1
Pd4 0.4747 0.7853 0.4747 1
Pd5 0.7846 0.1077 0.1077 1
Pd6 0.7853 0.4747 0.4747 1
S1 0.7998 0.7998 0.7998 1
```

***

(3)
# Sb2Pd3S3
Theoretical X-ray diffraction stick pattern, Cu Kα X-rays. Input: a structure optimized by DFT (PBE).

Largest 10 diffraction maxima, in order of rising 2θ, 15 to 90 degrees two-theta:
2θ/deg	I (rel.)
24.73	75
27.71	84
36.75	100
40.28	64
43.63	56
44.84	97
48.40	60
67.19	49
87.05	22
87.88	28

Cell and atoms:
```
data_Sb2Pd3S3
_chemical_formula_sum 'Sb2 Pd3 S3'
_space_group_name_H-M_alt 'P 1'
_space_group_IT_number 1
_cell_length_a 3.7613
_cell_length_b 3.7613
_cell_length_c 12.4429
_cell_angle_alpha 90.00
_cell_angle_beta 90.00
_cell_angle_gamma 90.00
loop_
_space_group_symop_operation_xyz
'x,y,z'
loop_
_atom_site_label
_atom_site_fract_x
_atom_site_fract_y
_atom_site_fract_z
_atom_site_occupancy
Sb1 0.0000 0.5000 0.1584 1
Sb2 0.5000 0.0000 0.8416 1
Pd1 0.0000 0.0000 0.0000 1
Pd2 0.5000 0.5000 0.0000 1
Pd3 0.5000 0.5000 0.5000 1
S1 0.0000 0.0000 0.3048 1
S2 0.0000 0.0000 0.5000 1
S3 0.0000 0.0000 0.6952 1
```

***

> What is the formula in the first record?

Pd16S7